(1)
Starting from a structure optimized by DFT (PBE), the XRD peak list of FeAgTePd was simulated for λ = 1.5418 Å (Cu Kα).
Intensities are scaled so that the largest is 100.

Principal peaks in the range 2θ from 10° to 90°, low angle first:
d/Å  2theta  Rel. int.  hkl
2.358  38.16  100.0  1 1 1
2.227  40.50  21.1  0 0 2
2.147  42.08  18.9  0 2 0
1.546  59.83  12.8  0 2 2
1.310  72.12  14.4  1 1 3
1.277  74.30  13.2  1 3 1

Structural model:
Cell lengths 3.6470, 4.2943, 4.4546 Å; angles 90.00, 90.00, 90.00 degrees
Space group Pmm2 (No. 25)
One atom of each set of equivalent atoms:
Fe (0.0000, 0.0000, 0.0000) x1
Ag (0.5000, 0.0000, 0.4998) x1
Te (0.5000, 0.5000, 0.9987) x1
Pd (0.0000, 0.5000, 0.4980) x1

***

(2)
Starting from a structure optimized by DFT (PBE), the XRD peak list of FeAgTePd was simulated for λ = 1.5418 Å (Cu Kα).
Intensities are scaled so that the largest is 100.

Principal peaks in the range 2θ from 10° to 90°, low angle first:
d/Å  2theta  Rel. int.  hkl
2.569  34.93  100.0  1 1 0
2.554  35.14  62.5  1 1 -1
2.187  41.29  46.9  0 1 2
2.105  42.97  28.4  1 1 1
2.084  43.43  27.5  1 1 -2
2.074  43.64  38.1  0 2 0

Structural model:
Cell lengths 3.4307, 4.1484, 5.4027 Å; angles 90.00, 107.73, 90.00 degrees
Space group Pm (No. 6)
One atom of each set of equivalent atoms:
Fe (0.0000, 0.0000, 0.0000) x1
Ag (0.7329, 0.0000, 0.4513) x1
Te (0.4328, 0.5000, 0.8523) x1
Pd (0.1695, 0.5000, 0.3152) x1

***

(3)
Starting from a structure optimized by DFT (PBE), the XRD peak list of Pm4FeAg2 was simulated for λ = 1.5418 Å (Cu Kα).
Intensities are scaled so that the largest is 100.

Principal peaks in the range 2θ from 10° to 90°, low angle first:
d/Å  2theta  Rel. int.  hkl
3.263  27.34  92.7  1 1 2
2.649  33.84  54.9  1 0 5
2.637  34.00  80.7  1 1 4
2.543  35.30  100.0  2 0 0
1.834  49.70  36.2  2 1 5
1.813  50.33  39.5  2 0 6

Structural model:
Cell lengths 5.0857, 5.0857, 15.5129 Å; angles 90.00, 90.00, 90.00 degrees
Space group I4/mmm (No. 139)
One atom of each set of equivalent atoms:
Pm (0.0000, 0.0000, 0.1783) x4
Pm (0.0000, 0.5000, 0.0000) x4
Fe (0.0000, 0.0000, 0.0000) x2
Ag (0.0000, 0.0000, 0.3721) x4

***

Q: Number 3 is which compound?
A: Pm4FeAg2